1.
Computed PXRD pattern
Compound: Ba2Sr2Ca15
Radiation: copper Kα
Structure: the PBE geometry in Alexandria
Peak positions follow from Bragg's law for the DFT cell and can differ from measured ones.

The 10 most intense peaks (2θ from 10° to 90°), most intense first:
2θ (°)  I (rel.)
27.70  100
23.89  37
28.23  31
24.52  26
19.57  18
49.37  18
48.90  16
27.99  15
13.72  14
44.46  12

Structural model:
```
Ba2Sr2Ca15
1.0
6.4520 3.7251 6.3762
-6.4520 3.7251 6.3762
0.0000 -7.4502 6.3762
Ba Sr Ca
2 2 15
Direct
0.1630 0.1630 0.1630 Ba
0.8370 0.8370 0.8370 Ba
0.3998 0.3998 0.3998 Sr
0.6002 0.6002 0.6002 Sr
0.0000 0.5000 0.5000 Ca
0.1507 0.1507 0.6573 Ca
0.1507 0.6573 0.1507 Ca
0.1981 0.5000 0.8019 Ca
0.1981 0.8019 0.5000 Ca
0.3427 0.8493 0.8493 Ca
0.5000 0.0000 0.5000 Ca
0.5000 0.1981 0.8019 Ca
0.5000 0.5000 0.0000 Ca
0.5000 0.8019 0.1981 Ca
0.6573 0.1507 0.1507 Ca
0.8019 0.1981 0.5000 Ca
0.8019 0.5000 0.1981 Ca
0.8493 0.3427 0.8493 Ca
0.8493 0.8493 0.3427 Ca
```

2.
Computed PXRD pattern
Compound: Ba4Sr4Ca
Radiation: copper Kα
Structure: the PBE geometry in Alexandria
Peak positions follow from Bragg's law for the DFT cell and can differ from measured ones.

The 10 most intense peaks (2θ from 10° to 90°), most intense first:
2θ (°)  I (rel.)
27.48  100
25.45  65
21.45  48
26.64  44
24.88  36
21.22  32
43.67  30
35.89  28
28.00  25
46.12  24

Structural model:
```
Ba4Sr4Ca
1.0
10.4460 -3.8091 0.0000
10.4460 3.8091 0.0000
0.0000 0.0000 14.0001
Ba Sr Ca
8 8 2
Direct
0.1856 0.1905 0.2500 Ba
0.1905 0.1856 0.7500 Ba
0.2480 0.7520 0.9999 Ba
0.2480 0.7520 0.5001 Ba
0.7520 0.2480 0.0001 Ba
0.7520 0.2480 0.4999 Ba
0.8095 0.8144 0.2500 Ba
0.8144 0.8095 0.7500 Ba
0.3059 0.3059 0.0000 Sr
0.3059 0.3059 0.5000 Sr
0.4051 0.4092 0.2500 Sr
0.4092 0.4051 0.7500 Sr
0.5908 0.5949 0.2500 Sr
0.5949 0.5908 0.7500 Sr
0.6941 0.6941 0.0000 Sr
0.6941 0.6941 0.5000 Sr
0.0012 0.9988 0.7500 Ca
0.9988 0.0012 0.2500 Ca
```

3.
Computed PXRD pattern
Compound: Ba8Sr3Ca
Radiation: copper Kα
Structure: the PBE geometry in Alexandria
Peak positions follow from Bragg's law for the DFT cell and can differ from measured ones.

The 10 most intense peaks (2θ from 10° to 90°), most intense first:
2θ (°)  I (rel.)
19.68  100
29.37  89
24.95  81
20.84  80
23.67  75
36.06  70
26.51  68
34.66  53
39.97  38
26.81  35

Structural model:
```
Ba8Sr3Ca
1.0
-5.3157 5.3157 7.1371
5.3157 -5.3157 7.1371
5.3157 5.3157 -7.1371
Ba Sr Ca
8 3 1
Direct
0.1088 0.1088 0.7381 Ba
0.2295 0.2295 0.4872 Ba
0.2577 0.7705 0.0000 Ba
0.3707 0.3707 0.2619 Ba
0.6293 0.8912 0.0000 Ba
0.7423 0.7423 0.5128 Ba
0.7705 0.2577 0.0000 Ba
0.8912 0.6293 0.0000 Ba
0.2500 0.7500 0.5000 Sr
0.5000 0.5000 0.0000 Sr
0.7500 0.2500 0.5000 Sr
0.0000 0.0000 0.0000 Ca
```

4.
Computed PXRD pattern
Compound: Ba2SrCa2
Radiation: copper Kα
Structure: the PBE geometry in Alexandria
Peak positions follow from Bragg's law for the DFT cell and can differ from measured ones.

The 10 most intense peaks (2θ from 10° to 90°), most intense first:
2θ (°)  I (rel.)
27.94  100
27.29  52
19.91  43
31.24  29
13.69  27
37.04  25
27.58  24
14.39  24
21.72  22
33.71  20

Structural model:
```
Ba2SrCa2
1.0
-6.4686 6.4686 3.4992
6.4686 -6.4686 3.4992
6.4686 6.4686 -3.4992
Ba Sr Ca
4 2 4
Direct
0.0452 0.6250 0.9202 Ba
0.3750 0.2952 0.4202 Ba
0.7048 0.1250 0.0798 Ba
0.8750 0.9548 0.5798 Ba
0.0000 0.0000 0.0000 Sr
0.7500 0.2500 0.5000 Sr
0.3597 0.6250 0.2347 Ca
0.3750 0.6097 0.7347 Ca
0.3903 0.1250 0.7653 Ca
0.8750 0.6403 0.2653 Ca
```